Diffraction record for Pm5TeRu2. The XRD peak list is computed, not measured: it uses DFT lattice parameters and positions (PBE) and λ = 1.5418 Å (Cu Kα).
Neutral-atom scattering factors, no anomalous dispersion.

Peak list (12 most intense, 15° ≤ 2θ ≤ 90°, low angle first)
25.7 deg, I = 13; 30.8 deg, I = 27; 31.6 deg, I = 12; 31.9 deg, I = 100; 34.7 deg, I = 28; 35.4 deg, I = 69; 41.8 deg, I = 24; 51.2 deg, I = 11; 53.1 deg, I = 11; 55.7 deg, I = 16; 66.1 deg, I = 18; 66.4 deg, I = 20

Cell lengths 8.0090, 8.0090, 13.5519 Å; angles 90.00, 90.00, 90.00 degrees
Space group I4/mcm (No. 140)
One atom of each set of equivalent atoms:
Pm 0.0000 0.0000 0.0000
Pm 0.1548 0.3452 0.1338
Te 0.0000 0.0000 0.2500
Ru 0.1419 0.3581 0.5000